V3GaO: calculated X-ray powder pattern (λ = 1.5418 Å (Cu Kα)), based on a PBE+U-relaxed structure.
Neutral-atom scattering factors, no anomalous dispersion.

Cell and atoms:
Lattice parameters (Å, degrees): 4.238 4.238 4.238 90.00 90.00 90.00
Fractional positions:
V1 0.000 0.000 0.500
V2 0.000 0.500 0.000
V3 0.500 0.000 0.000
Ga1 0.500 0.500 0.500
O1 0.000 0.000 0.000

Top 9 peaks for 15° ≤ 2θ ≤ 90°, most intense first:
two_theta  I (rel.)
36.73  1000
42.67  641
61.92  382
74.21  339
78.11  122
29.81  98
52.92  37
85.78  17
70.23  15